1.
The following is a simulated X-ray powder pattern of MgNb2. It was derived from DFT lattice parameters and positions (GGA-PBE), using Cu Kα X-rays.

Crystal structure
a = 5.437 Å, b = 2.772 Å, c = 7.922 Å
α = 90.00°, β = 105.04°, γ = 90.00°
Sites, in units of the cell vectors:
Mg: 0.000 0.000 0.000
Mg: 0.500 0.500 0.000
Nb: 0.173 0.000 0.663
Nb: 0.327 0.500 0.337
Nb: 0.673 0.500 0.663
Nb: 0.827 0.000 0.337

Peak list (10 most intense, 2θ from 15° to 90°, low angle first)
2θ (°)  intensity
35.19  100
36.12  92
36.66  50
37.14  100
39.06  75
39.96  45
41.27  50
46.35  53
57.41  27
67.64  28

=====

2.
The following is a simulated X-ray powder pattern of LuMg2Ti3S8. It was derived from DFT lattice parameters and positions (GGA-PBE), using Cu Kα X-rays.

Crystal structure
a = 7.515 Å, b = 7.515 Å, c = 7.515 Å
α = 58.68°, β = 58.68°, γ = 58.68°
Sites, in units of the cell vectors:
Lu: 0.000 0.000 0.000
Mg: 0.374 0.374 0.374
Mg: 0.626 0.626 0.626
Ti: 0.000 0.000 0.500
Ti: 0.000 0.500 0.000
Ti: 0.500 0.000 0.000
S: 0.225 0.750 0.750
S: 0.241 0.241 0.241
S: 0.250 0.250 0.775
S: 0.250 0.775 0.250
S: 0.750 0.225 0.750
S: 0.750 0.750 0.225
S: 0.759 0.759 0.759
S: 0.775 0.250 0.250

Peak list (10 most intense, 2θ from 15° to 90°, low angle first)
2θ (°)  intensity
16.86  30
24.17  28
27.78  38
28.19  80
34.10  100
44.81  27
45.09  23
48.47  47
49.51  47
61.48  16

=====

3.
The following is a simulated X-ray powder pattern of LaMg14C. It was derived from DFT lattice parameters and positions (GGA-PBE), using Cu Kα X-rays.

Crystal structure
a = 6.443 Å, b = 6.443 Å, c = 10.137 Å
α = 90.00°, β = 90.00°, γ = 120.00°
Sites, in units of the cell vectors:
La: 0.000 0.000 0.000
Mg: 0.019 0.509 0.000
Mg: 0.158 0.316 0.279
Mg: 0.158 0.316 0.721
Mg: 0.158 0.842 0.279
Mg: 0.158 0.842 0.721
Mg: 0.491 0.509 0.000
Mg: 0.491 0.981 0.000
Mg: 0.507 0.014 0.500
Mg: 0.507 0.493 0.500
Mg: 0.667 0.333 0.237
Mg: 0.667 0.333 0.763
Mg: 0.684 0.842 0.279
Mg: 0.684 0.842 0.721
Mg: 0.986 0.493 0.500
C: 0.000 0.000 0.500

Peak list (10 most intense, 2θ from 15° to 90°, low angle first)
2θ (°)  intensity
15.88  24
18.15  42
29.09  19
30.94  21
32.08  28
35.42  22
36.77  100
48.53  16
57.19  18
69.10  16

=====

4.
The following is a simulated X-ray powder pattern of Cs3Cu3Cl8O. It was derived from DFT lattice parameters and positions (GGA-PBE), using Cu Kα X-rays.

Crystal structure
a = 13.827 Å, b = 9.803 Å, c = 13.819 Å
α = 90.00°, β = 114.09°, γ = 90.00°
Sites, in units of the cell vectors:
Cs: 0.066 0.119 0.198
Cs: 0.066 0.381 0.698
Cs: 0.192 0.598 0.074
Cs: 0.192 0.902 0.574
Cs: 0.433 0.595 0.812
Cs: 0.433 0.905 0.312
Cs: 0.567 0.095 0.688
Cs: 0.567 0.405 0.188
Cs: 0.808 0.098 0.426
Cs: 0.808 0.402 0.926
Cs: 0.934 0.619 0.302
Cs: 0.934 0.881 0.802
Cu: 0.230 0.154 0.990
Cu: 0.230 0.346 0.490
Cu: 0.274 0.608 0.411
Cu: 0.274 0.892 0.911
Cu: 0.365 0.153 0.865
Cu: 0.365 0.347 0.365
Cu: 0.635 0.653 0.635
Cu: 0.635 0.847 0.135
Cu: 0.726 0.108 0.089
Cu: 0.726 0.392 0.589
Cu: 0.770 0.654 0.510
Cu: 0.770 0.846 0.010
Cl: 0.087 0.219 0.473
Cl: 0.087 0.281 0.973
Cl: 0.148 0.034 0.782
Cl: 0.148 0.466 0.282
Cl: 0.178 0.542 0.551
Cl: 0.178 0.958 0.051
Cl: 0.186 0.706 0.825
Cl: 0.186 0.794 0.325
Cl: 0.316 0.163 0.436
Cl: 0.316 0.337 0.936
Cl: 0.351 0.236 0.218
Cl: 0.351 0.264 0.718
Cl: 0.404 0.736 0.536
Cl: 0.404 0.764 0.036
Cl: 0.415 0.542 0.310
Cl: 0.415 0.958 0.810
Cl: 0.585 0.042 0.190
Cl: 0.585 0.458 0.690
Cl: 0.596 0.236 0.964
Cl: 0.596 0.264 0.464
Cl: 0.649 0.736 0.282
Cl: 0.649 0.764 0.782
Cl: 0.684 0.663 0.064
Cl: 0.684 0.837 0.564
Cl: 0.814 0.206 0.675
Cl: 0.814 0.294 0.175
Cl: 0.822 0.042 0.949
Cl: 0.822 0.458 0.449
Cl: 0.852 0.534 0.718
Cl: 0.852 0.966 0.218
Cl: 0.913 0.719 0.027
Cl: 0.913 0.781 0.527
O: 0.344 0.056 0.975
O: 0.344 0.444 0.475
O: 0.656 0.556 0.525
O: 0.656 0.944 0.025

Peak list (10 most intense, 2θ from 15° to 90°, low angle first)
2θ (°)  intensity
21.37  100
21.64  90
23.67  84
29.75  80
30.84  57
31.42  70
40.25  24
40.42  32
44.10  33
50.62  28

=====

5.
The following is a simulated X-ray powder pattern of Y2PS. It was derived from DFT lattice parameters and positions (GGA-PBE), using Cu Kα X-rays.

Crystal structure
a = 3.971 Å, b = 3.971 Å, c = 19.467 Å
α = 90.00°, β = 90.00°, γ = 120.00°
Sites, in units of the cell vectors:
Y: 0.000 0.000 0.247
Y: 0.000 0.000 0.753
Y: 0.333 0.667 0.420
Y: 0.333 0.667 0.914
Y: 0.667 0.333 0.086
Y: 0.667 0.333 0.580
P: 0.000 0.000 0.500
P: 0.333 0.667 0.167
P: 0.667 0.333 0.833
S: 0.000 0.000 0.000
S: 0.333 0.667 0.667
S: 0.667 0.333 0.333

Peak list (10 most intense, 2θ from 15° to 90°, low angle first)
2θ (°)  intensity
27.50  44
31.86  100
41.77  1
45.68  70
54.15  20
56.77  24
66.59  11
73.48  8
75.72  29
84.49  22

=====

6.
The following is a simulated X-ray powder pattern of Dy2Ga9Co3. It was derived from DFT lattice parameters and positions (GGA-PBE), using Cu Kα X-rays.

Crystal structure
a = 7.368 Å, b = 7.368 Å, c = 9.409 Å
α = 90.00°, β = 90.00°, γ = 60.16°
Sites, in units of the cell vectors:
Dy: 0.003 0.668 0.750
Dy: 0.332 0.997 0.750
Dy: 0.668 0.003 0.250
Dy: 0.997 0.332 0.250
Ga: 0.000 0.334 0.572
Ga: 0.000 0.334 0.928
Ga: 0.000 0.666 0.072
Ga: 0.000 0.666 0.428
Ga: 0.121 0.879 0.250
Ga: 0.334 0.000 0.072
Ga: 0.334 0.000 0.428
Ga: 0.334 0.666 0.557
Ga: 0.334 0.666 0.943
Ga: 0.336 0.450 0.250
Ga: 0.450 0.336 0.750
Ga: 0.550 0.664 0.250
Ga: 0.664 0.550 0.750
Ga: 0.666 0.000 0.572
Ga: 0.666 0.000 0.928
Ga: 0.666 0.334 0.057
Ga: 0.666 0.334 0.443
Ga: 0.879 0.121 0.750
Co: 0.000 0.000 0.000
Co: 0.000 0.000 0.500
Co: 0.329 0.329 0.000
Co: 0.329 0.329 0.500
Co: 0.671 0.671 0.000
Co: 0.671 0.671 0.500

Peak list (10 most intense, 2θ from 15° to 90°, low angle first)
2θ (°)  intensity
25.96  13
37.65  100
38.26  16
38.50  17
42.07  18
42.43  46
42.54  23
47.54  11
58.48  12
74.46  22

=====

7.
The following is a simulated X-ray powder pattern of RbSbF6. It was derived from DFT lattice parameters and positions (GGA-PBE), using Cu Kα X-rays.

Crystal structure
a = 5.268 Å, b = 5.268 Å, c = 5.268 Å
α = 96.62°, β = 96.62°, γ = 96.62°
Sites, in units of the cell vectors:
Rb: 0.000 0.000 0.000
Sb: 0.500 0.500 0.500
F: 0.205 0.289 0.581
F: 0.289 0.581 0.205
F: 0.419 0.795 0.711
F: 0.581 0.205 0.289
F: 0.711 0.419 0.795
F: 0.795 0.711 0.419

Peak list (10 most intense, 2θ from 15° to 90°, low angle first)
2θ (°)  intensity
17.09  23
22.60  100
25.82  72
34.58  21
39.68  14
41.71  65
46.15  13
53.63  13
58.41  23
62.46  15

=====

8.
The following is a simulated X-ray powder pattern of SmRh2. It was derived from DFT lattice parameters and positions (GGA-PBE), using Cu Kα X-rays.

Crystal structure
a = 5.398 Å, b = 5.398 Å, c = 5.398 Å
α = 60.00°, β = 60.00°, γ = 60.00°
Sites, in units of the cell vectors:
Sm: 0.125 0.125 0.125
Sm: 0.875 0.875 0.875
Rh: 0.000 0.500 0.500
Rh: 0.500 0.000 0.500
Rh: 0.500 0.500 0.000
Rh: 0.500 0.500 0.500

Peak list (10 most intense, 2θ from 15° to 90°, low angle first)
2θ (°)  intensity
33.19  39
39.14  100
40.96  29
47.65  1
59.31  15
63.30  32
69.68  26
79.39  6
82.94  11
84.12  11